No. 1
Diffraction record for Li2Al9Zn. The powder X-ray diffraction pattern is computed, not measured: it uses DFT lattice parameters and positions (GGA-PBE) and copper Kα.
Kinematic intensities with the Lorentz-polarization factor, no thermal factor.

Cell and atoms:
```
data_Li2Al9Zn
_space_group_name_H-M_alt 'P 4/m m m'
_space_group_IT_number 123
_space_group_name_Hall '-P 4 2'
_cell_length_a 4.0803
_cell_length_b 4.0803
_cell_length_c 11.7527
_cell_angle_alpha 90.00
_cell_angle_beta 90.00
_cell_angle_gamma 90.00
loop_
_atom_site_label
_atom_site_fract_x
_atom_site_fract_y
_atom_site_fract_z
_atom_site_occupancy
Li1 0.0000 0.0000 0.1646 1
Al1 0.0000 0.5000 0.0000 1
Al2 0.0000 0.5000 0.3334 1
Al3 0.5000 0.5000 0.1687 1
Al4 0.5000 0.5000 0.5000 1
Zn1 0.0000 0.0000 0.5000 1
```

Top 8 peaks for 2θ from 5° to 70°, sorted by position:
(hkl)  two_theta  Rel. int.
0 0 1  7.52  47.1
1 0 1  23.07  15.9
1 0 2  26.60  12.0
1 1 3  38.76  100.0
2 0 0  44.41  36.7
0 0 6  46.35  14.7
2 2 0  64.62  12.6
2 0 6  66.13  19.9

No. 2
Diffraction record for Cd3SnSe4. The powder X-ray diffraction pattern is computed, not measured: it uses DFT lattice parameters and positions (GGA-PBE) and copper Kα.
Kinematic intensities with the Lorentz-polarization factor, no thermal factor.

Cell and atoms:
```
data_Cd3SnSe4
_space_group_name_H-M_alt 'I -4 2 m'
_space_group_IT_number 121
_space_group_name_Hall 'I -4 2'
_cell_length_a 6.3545
_cell_length_b 6.3545
_cell_length_c 12.6540
_cell_angle_alpha 90.00
_cell_angle_beta 90.00
_cell_angle_gamma 90.00
loop_
_atom_site_label
_atom_site_fract_x
_atom_site_fract_y
_atom_site_fract_z
_atom_site_occupancy
Cd1 0.0000 0.0000 0.0000 1
Cd2 0.0000 0.5000 0.2500 1
Sn1 0.0000 0.0000 0.5000 1
Se1 0.2354 0.2354 0.8686 1
```

Top 8 peaks for 2θ from 5° to 70°, sorted by position:
(hkl)  two_theta  Rel. int.
1 1 2  24.30  100.0
2 0 4  40.20  74.7
3 1 2  47.47  31.6
1 1 6  47.63  15.7
4 0 0  58.06  8.0
0 0 8  58.34  4.0
3 3 2  63.87  6.2
3 1 6  64.00  12.4

No. 3
Diffraction record for KFe3. The powder X-ray diffraction pattern is computed, not measured: it uses DFT lattice parameters and positions (GGA-PBE) and copper Kα.
Kinematic intensities with the Lorentz-polarization factor, no thermal factor.

Cell and atoms:
```
data_KFe3
_space_group_name_H-M_alt 'P 4/m m m'
_space_group_IT_number 123
_space_group_name_Hall '-P 4 2'
_cell_length_a 3.0774
_cell_length_b 3.0774
_cell_length_c 7.8852
_cell_angle_alpha 90.00
_cell_angle_beta 90.00
_cell_angle_gamma 90.00
loop_
_atom_site_label
_atom_site_fract_x
_atom_site_fract_y
_atom_site_fract_z
_atom_site_occupancy
K1 0.0000 0.0000 0.0000 1
Fe1 0.0000 0.0000 0.5000 1
Fe2 0.5000 0.5000 0.3506 1
```

Top 8 peaks for 2θ from 5° to 70°, sorted by position:
(hkl)  two_theta  Rel. int.
0 0 1  11.22  100.0
1 0 1  31.20  12.1
1 0 2  37.06  51.0
1 1 0  41.50  47.1
1 1 1  43.12  14.2
1 0 3  45.38  26.3
1 0 4  55.35  30.3
2 0 0  60.13  14.2

No. 4
Diffraction record for Cd2Pd2Au3. The powder X-ray diffraction pattern is computed, not measured: it uses DFT lattice parameters and positions (GGA-PBE) and copper Kα.
Kinematic intensities with the Lorentz-polarization factor, no thermal factor.

Cell and atoms:
```
data_Cd2Pd2Au3
_space_group_name_H-M_alt 'P -1'
_space_group_IT_number 2
_cell_length_a 2.9440
_cell_length_b 6.8212
_cell_length_c 7.2160
_cell_angle_alpha 65.59
_cell_angle_beta 89.99
_cell_angle_gamma 77.74
loop_
_space_group_symop_operation_xyz
'x,y,z'
'-x,-y,-z'
loop_
_atom_site_label
_atom_site_fract_x
_atom_site_fract_y
_atom_site_fract_z
_atom_site_occupancy
Cd1 0.1156 0.2664 0.2893 1
Pd1 0.4143 0.6683 0.0719 1
Au1 0.2054 0.0914 0.7499 1
Au2 0.5000 0.5000 0.5000 1
```

Top 8 peaks for 2θ from 5° to 70°, sorted by position:
(hkl)  two_theta  Rel. int.
0 1 -2  36.36  84.4
-1 1 1  36.82  70.1
1 2 1  36.93  67.8
1 -1 0  37.76  79.0
1 2 0  37.93  44.1
0 2 3  39.45  88.0
1 1 2  39.74  60.4
0 3 1  40.95  100.0

No. 5
Diffraction record for PmHo3Bi2. The powder X-ray diffraction pattern is computed, not measured: it uses DFT lattice parameters and positions (GGA-PBE) and copper Kα.
Kinematic intensities with the Lorentz-polarization factor, no thermal factor.

Cell and atoms:
```
data_PmHo3Bi2
_space_group_name_H-M_alt 'P -4 m 2'
_space_group_IT_number 115
_cell_length_a 4.5729
_cell_length_b 4.5729
_cell_length_c 8.6462
_cell_angle_alpha 90.00
_cell_angle_beta 90.00
_cell_angle_gamma 90.00
loop_
_space_group_symop_operation_xyz
'x,y,z'
'y,-x,-z'
'-x,-y,z'
'-y,x,-z'
'-x,y,z'
'-y,-x,-z'
'x,-y,z'
'y,x,-z'
loop_
_atom_site_label
_atom_site_fract_x
_atom_site_fract_y
_atom_site_fract_z
_atom_site_occupancy
Pm1 0.0000 0.0000 0.0000 1
Ho1 0.0000 0.5000 0.3452 1
Ho2 0.5000 0.5000 0.0000 1
Bi1 0.0000 0.5000 0.7117 1
```

Top 8 peaks for 2θ from 5° to 70°, sorted by position:
(hkl)  two_theta  Rel. int.
1 1 0  27.59  26.0
1 1 1  29.49  84.2
0 0 3  31.03  42.7
1 1 2  34.64  100.0
2 0 0  39.41  61.3
2 0 3  50.98  43.3
2 2 0  56.95  29.8
3 1 2  68.41  28.5

No. 6
Diffraction record for DyTi2Pt9. The powder X-ray diffraction pattern is computed, not measured: it uses DFT lattice parameters and positions (GGA-PBE) and copper Kα.
Kinematic intensities with the Lorentz-polarization factor, no thermal factor.

Cell and atoms:
```
data_DyTi2Pt9
_space_group_name_H-M_alt 'P 4/m m m'
_space_group_IT_number 123
_space_group_name_Hall '-P 4 2'
_cell_length_a 4.0064
_cell_length_b 4.0064
_cell_length_c 12.0231
_cell_angle_alpha 90.00
_cell_angle_beta 90.00
_cell_angle_gamma 90.00
loop_
_atom_site_label
_atom_site_fract_x
_atom_site_fract_y
_atom_site_fract_z
_atom_site_occupancy
Dy1 0.0000 0.0000 0.0000 1
Ti1 0.0000 0.0000 0.3354 1
Pt1 0.0000 0.5000 0.1802 1
Pt2 0.0000 0.5000 0.5000 1
Pt3 0.5000 0.5000 0.0000 1
Pt4 0.5000 0.5000 0.3397 1
```

Top 8 peaks for 2θ from 5° to 70°, sorted by position:
(hkl)  two_theta  Rel. int.
1 0 0  22.19  7.8
1 1 0  31.58  6.9
1 1 2  35.01  2.2
1 1 3  38.93  100.0
2 0 0  45.26  48.7
2 1 0  50.96  3.7
2 1 3  56.24  2.5
2 2 0  65.94  30.8

No. 7
Diffraction record for RbCu2Cl6. The powder X-ray diffraction pattern is computed, not measured: it uses DFT lattice parameters and positions (GGA-PBE) and copper Kα.
Kinematic intensities with the Lorentz-polarization factor, no thermal factor.

Cell and atoms:
```
data_RbCu2Cl6
_space_group_name_H-M_alt 'C 1 2/m 1'
_space_group_IT_number 12
_cell_length_a 14.9188
_cell_length_b 5.1275
_cell_length_c 9.4963
_cell_angle_alpha 90.00
_cell_angle_beta 122.28
_cell_angle_gamma 90.00
loop_
_space_group_symop_operation_xyz
'x,y,z'
'-x,-y,-z'
'-x,y,-z'
'x,-y,z'
'x+1/2,y+1/2,z'
'-x+1/2,-y+1/2,-z'
'-x+1/2,y+1/2,-z'
'x+1/2,-y+1/2,z'
loop_
_atom_site_label
_atom_site_fract_x
_atom_site_fract_y
_atom_site_fract_z
_atom_site_occupancy
Rb1 0.0000 0.0000 0.0000 1
Cu1 0.2444 0.5000 0.3611 1
Cl1 0.0850 0.0000 0.6010 1
Cl2 0.1665 0.5000 0.0922 1
Cl3 0.2306 0.0000 0.3842 1
```

Top 8 peaks for 2θ from 5° to 70°, sorted by position:
(hkl)  two_theta  Rel. int.
2 0 -1  12.38  100.0
2 0 0  14.04  36.7
1 1 0  18.68  32.8
2 0 -2  18.83  43.5
1 1 -1  19.71  28.4
2 0 1  22.11  30.2
3 1 -1  24.94  41.6
0 2 0  34.98  70.0

No. 8
Diffraction record for Tb4PmTm6. The powder X-ray diffraction pattern is computed, not measured: it uses DFT lattice parameters and positions (GGA-PBE) and copper Kα.
Kinematic intensities with the Lorentz-polarization factor, no thermal factor.

Cell and atoms:
```
data_Tb4PmTm6
_space_group_name_H-M_alt 'I -4 2 m'
_space_group_IT_number 121
_space_group_name_Hall 'I -4 2'
_cell_length_a 6.5406
_cell_length_b 6.5406
_cell_length_c 16.8943
_cell_angle_alpha 90.00
_cell_angle_beta 90.00
_cell_angle_gamma 90.00
loop_
_atom_site_label
_atom_site_fract_x
_atom_site_fract_y
_atom_site_fract_z
_atom_site_occupancy
Tb1 0.1875 0.1875 0.3265 1
Pm1 0.0000 0.0000 0.5000 1
Tm1 0.0000 0.5000 0.0000 1
Tm2 0.1792 0.1792 0.1298 1
```

Top 8 peaks for 2θ from 5° to 70°, sorted by position:
(hkl)  two_theta  Rel. int.
1 1 4  28.62  35.5
2 0 2  29.28  62.9
2 1 1  31.03  100.0
0 0 6  31.78  32.1
2 0 4  34.69  77.1
2 2 0  38.95  28.6
2 1 5  40.80  42.0
4 1 1  58.43  35.9

What did the sixth record say?
Diffraction record for DyTi2Pt9. The powder X-ray diffraction pattern is computed, not measured: it uses DFT lattice parameters and positions (GGA-PBE) and copper Kα.
Kinematic intensities with the Lorentz-polarization factor, no thermal factor.

Cell and atoms:
```
data_DyTi2Pt9
_space_group_name_H-M_alt 'P 4/m m m'
_space_group_IT_number 123
_space_group_name_Hall '-P 4 2'
_cell_length_a 4.0064
_cell_length_b 4.0064
_cell_length_c 12.0231
_cell_angle_alpha 90.00
_cell_angle_beta 90.00
_cell_angle_gamma 90.00
loop_
_atom_site_label
_atom_site_fract_x
_atom_site_fract_y
_atom_site_fract_z
_atom_site_occupancy
Dy1 0.0000 0.0000 0.0000 1
Ti1 0.0000 0.0000 0.3354 1
Pt1 0.0000 0.5000 0.1802 1
Pt2 0.0000 0.5000 0.5000 1
Pt3 0.5000 0.5000 0.0000 1
Pt4 0.5000 0.5000 0.3397 1
```

Top 8 peaks for 2θ from 5° to 70°, sorted by position:
(hkl)  two_theta  Rel. int.
1 0 0  22.19  7.8
1 1 0  31.58  6.9
1 1 2  35.01  2.2
1 1 3  38.93  100.0
2 0 0  45.26  48.7
2 1 0  50.96  3.7
2 1 3  56.24  2.5
2 2 0  65.94  30.8